1.
# Zr3W
Simulated powder diffractogram, copper Kα. Input: a DFT-relaxed cell (PBE, Alexandria).

Largest 6 diffraction maxima, low angle first, 2θ from 5° to 70°:
d/Å  2θ (°)  Rel. int.  index
2.497  36.0  98  1 1 -1
2.447  36.7  100  0 1 2
2.440  36.8  49  1 0 1
2.368  38.0  46  0 2 0
1.699  54.0  32  1 2 1
1.429  65.3  23  0 0 4

Atomic structure:
a = 3.075 Å, b = 4.736 Å, c = 5.864 Å
α = 90.00°, β = 102.91°, γ = 90.00°
Space group P2/m (No. 10)
Asymmetric unit:
Zr 0.000 0.000 0.000 x1
Zr 0.311 0.500 0.733 x2
W 0.500 0.000 0.500 x1

=====

2.
# Pa3BeC3
Simulated powder diffractogram, copper Kα. Input: a DFT-relaxed cell (PBE, Alexandria).

Largest 6 diffraction maxima, low angle first, 2θ from 5° to 70°:
d/Å  2θ (°)  Rel. int.  index
3.534  25.2  34  1 1 0
2.905  30.8  100  1 1 1
2.624  34.2  33  2 0 1
2.551  35.2  28  0 0 2
2.313  38.9  29  1 2 0
1.714  53.5  23  1 2 2

Atomic structure:
a = 7.0677 Å, b = 7.0677 Å, c = 5.1020 Å
α = 90.00°, β = 90.00°, γ = 120.00°
Space group P6_3/m (No. 176)
Asymmetric unit:
Pa 0.0734 0.3552 0.2500 x6
Be 0.3333 0.6667 0.7500 x2
C 0.0840 0.4004 0.7500 x6

=====

3.
# Ce2Tl3AsSe6
Simulated powder diffractogram, copper Kα. Input: a DFT-relaxed cell (PBE, Alexandria).

Largest 6 diffraction maxima, low angle first, 2θ from 5° to 70°:
d/Å  2θ (°)  Rel. int.  index
3.498  25.5  17  2 0 0
3.097  28.8  100  2 0 -2
2.268  39.7  36  1 3 -3
2.120  42.7  36  3 3 -1
1.749  52.3  18  2 6 -2
1.348  69.7  10  4 6 0

Atomic structure:
a = 7.346 Å, b = 12.710 Å, c = 8.081 Å
α = 90.00°, β = 107.83°, γ = 90.00°
Space group C2/m (No. 12)
Asymmetric unit:
Ce 0.000 0.166 0.000 x4
Tl 0.000 0.000 0.500 x2
Tl 0.000 0.329 0.500 x4
As 0.000 0.500 0.000 x2
Se 0.223 0.343 0.199 x8
Se 0.245 0.500 0.793 x4

=====

4.
# Pr4Nd5Y3
Simulated powder diffractogram, copper Kα. Input: a DFT-relaxed cell (PBE, Alexandria).

Largest 6 diffraction maxima, low angle first, 2θ from 5° to 70°:
d/Å  2θ (°)  Rel. int.  index
3.147  28.4  45  2 0 2
3.109  28.7  43  3 1 1
3.026  29.5  100  0 2 0
2.888  31.0  58  5 1 -1
2.824  31.7  77  5 1 -2
2.737  32.7  56  1 1 -3

Atomic structure:
a = 16.542 Å, b = 6.051 Å, c = 9.577 Å
α = 90.00°, β = 116.68°, γ = 90.00°
Space group C2/m (No. 12)
Asymmetric unit:
Pr 0.084 0.000 0.445 x4
Pr 0.219 0.000 0.879 x4
Nd 0.000 0.000 0.000 x2
Nd 0.073 0.500 0.701 x4
Nd 0.171 0.500 0.389 x4
Y 0.000 0.500 0.000 x2
Y 0.209 0.000 0.228 x4

=====

5.
# PaHIN2
Simulated powder diffractogram, copper Kα. Input: a DFT-relaxed cell (PBE, Alexandria).

Largest 6 diffraction maxima, low angle first, 2θ from 5° to 70°:
d/Å  2θ (°)  Rel. int.  index
9.258  9.6  29  0 0 1
4.629  19.2  46  0 0 2
3.577  24.9  31  1 0 -2
2.935  30.5  100  1 1 1
2.818  31.8  22  2 0 0
1.853  49.2  30  0 2 0

Atomic structure:
a = 5.635 Å, b = 3.703 Å, c = 9.258 Å
α = 90.00°, β = 90.13°, γ = 90.00°
Space group P2_1/m (No. 11)
Asymmetric unit:
Pa 0.236 0.250 0.082 x2
H 0.402 0.250 0.789 x2
I 0.249 0.750 0.501 x2
N 0.021 0.750 0.100 x2
N 0.490 0.250 0.887 x2

=====

6.
# Sm4In3Ir
Simulated powder diffractogram, copper Kα. Input: a DFT-relaxed cell (PBE, Alexandria).

Largest 6 diffraction maxima, low angle first, 2θ from 5° to 70°:
d/Å  2θ (°)  Rel. int.  index
16.130  5.5  18  0 0 1
2.695  33.2  100  1 0 4
2.562  35.0  49  1 1 0
1.812  50.4  17  2 0 0
1.584  58.2  14  1 1 8
1.504  61.7  33  2 1 4

Atomic structure:
a = 3.623 Å, b = 3.623 Å, c = 16.130 Å
α = 90.00°, β = 90.00°, γ = 90.00°
Space group P4/mmm (No. 123)
Asymmetric unit:
Sm 0.000 0.000 0.102 x2
Sm 0.000 0.000 0.368 x2
In 0.500 0.500 0.239 x2
In 0.500 0.500 0.500 x1
Ir 0.500 0.500 0.000 x1